This entry pairs a crystal structure of Pm7ErTm3 with its calculated X-ray powder pattern. Radiation: a wavelength of 1.5418 Å. Structure: a DFT-relaxed cell (PBE, Alexandria).
Intensities are scaled so that the largest is 100.

Peak list (8 most intense, 2θ from 5° to 70°, in order of rising 2θ)
2θ/deg  intensity  index
28.96  22  2 2 -2
29.63  19  0 2 2
31.34  51  6 0 0
31.96  100  0 0 4
33.46  31  6 0 -4
33.79  55  2 2 2
50.69  26  4 2 -6
60.96  20  2 2 6

Atomic structure:
a = 19.090 Å, b = 7.150 Å, c = 12.508 Å
α = 90.00°, β = 116.24°, γ = 90.00°
Space group C2/c (No. 15)
Inequivalent atoms, fractional coordinates:
Pm (0.000, 0.215, 0.250)
Pm (0.159, 0.495, 0.774)
Pm (0.167, 0.247, 0.027)
Pm (0.168, 0.249, 0.529)
Er (0.000, 0.000, 0.000)
Tm (0.000, 0.500, 0.000)
Tm (0.171, 0.003, 0.275)